# NpInGa2O8
Theoretical powder diffractogram, Cu Kα (λ = 1.5418 Å). Input: the PBE geometry in Alexandria.

The 6 most intense peaks (15 to 90 degrees two-theta), in order of rising 2θ:
two_theta	I (rel.)
18.55	40
26.02	62
26.66	60
33.76	100
51.05	41
51.78	41

Structure:
a = 4.785 Å, b = 4.785 Å, c = 6.384 Å
α = 90.00°, β = 90.00°, γ = 91.37°
Element x y z (fractional)
Np (0.000, 0.000, 0.000)
In (0.000, 0.000, 0.500)
Ga (0.500, 0.500, 0.264)
Ga (0.500, 0.500, 0.736)
O (0.204, 0.796, 0.229)
O (0.204, 0.796, 0.771)
O (0.307, 0.307, 0.000)
O (0.313, 0.313, 0.500)
O (0.687, 0.687, 0.500)
O (0.693, 0.693, 0.000)
O (0.796, 0.204, 0.229)
O (0.796, 0.204, 0.771)